(1)
Structure and calculated PXRD pattern of Na2AlOsO6 (a DFT-relaxed cell (PBE, OQMD); Cu Kα (λ = 1.5418 Å)).
Lines closer than 0.1° are merged.

```
Na2AlOsO6
1.0
0.000 3.746 3.746
3.746 0.000 3.746
3.746 3.746 0.000
Na Al Os O
2 1 1 6
direct
0.250 0.250 0.250
0.750 0.750 0.750
0.000 0.000 0.000
0.500 0.500 0.500
0.249 0.249 0.751
0.249 0.751 0.249
0.249 0.751 0.751
0.751 0.249 0.249
0.751 0.249 0.751
0.751 0.751 0.249
```

Top 10 peaks for 2θ = 15–90°, sorted by position:
2θ (°), d (Å), I/Imax
20.53, 4.326, 100
23.75, 3.746, 87
33.84, 2.649, 93
39.91, 2.259, 58
48.61, 1.873, 39
53.29, 1.719, 26
54.79, 1.675, 34
60.54, 1.529, 36
64.64, 1.442, 19
71.19, 1.325, 22

---

(2)
Structure and calculated PXRD pattern of Gd2Cl (a DFT-relaxed cell (PBE, OQMD); Cu Kα (λ = 1.5418 Å)).
Lines closer than 0.1° are merged.

```
Gd2Cl
1.0
6.796 0.000 0.000
0.000 6.796 0.000
0.000 0.000 6.796
Gd Cl
8 4
direct
0.250 0.250 0.250
0.250 0.250 0.750
0.250 0.750 0.250
0.250 0.750 0.750
0.750 0.250 0.250
0.750 0.250 0.750
0.750 0.750 0.250
0.750 0.750 0.750
0.000 0.000 0.000
0.000 0.500 0.500
0.500 0.000 0.500
0.500 0.500 0.000
```

Top 10 peaks for 2θ = 15–90°, sorted by position:
2θ (°), d (Å), I/Imax
22.66, 3.924, 3
26.23, 3.398, 79
37.43, 2.403, 100
44.20, 2.049, 1
46.28, 1.962, 24
53.97, 1.699, 17
60.97, 1.520, 31
67.52, 1.387, 35
79.84, 1.201, 11
85.79, 1.133, 15

---

(3)
Structure and calculated PXRD pattern of Li2ZnGa2PdPt2 (a DFT-relaxed cell (PBE, OQMD); Cu Kα (λ = 1.5418 Å)).
Lines closer than 0.1° are merged.

```
Li2ZnGa2PdPt2
1.0
4.281 0.000 0.000
0.000 4.281 0.000
0.000 0.000 6.314
Li Zn Ga Pd Pt
2 1 2 1 2
direct
0.000 0.500 0.249
0.500 0.000 0.751
0.000 0.000 0.000
0.000 0.000 0.500
0.500 0.500 0.000
0.500 0.500 0.500
0.000 0.500 0.768
0.500 0.000 0.232
```

Top 10 peaks for 2θ = 15–90°, sorted by position:
2θ (°), d (Å), I/Imax
25.13, 3.543, 100
41.32, 2.185, 99
42.22, 2.140, 48
48.18, 1.889, 16
49.77, 1.832, 32
61.24, 1.513, 16
65.96, 1.416, 13
74.72, 1.270, 16
76.58, 1.244, 32
89.77, 1.092, 10

---

(4)
Structure and calculated PXRD pattern of Cu4Ag (a DFT-relaxed cell (PBE, OQMD); Cu Kα (λ = 1.5418 Å)).
Lines closer than 0.1° are merged.

```
Cu4Ag
1.0
2.679 0.000 0.000
0.000 3.593 0.000
0.000 0.000 13.527
Cu Ag
8 2
direct
0.000 0.000 0.111
0.000 0.000 0.297
0.000 0.000 0.703
0.000 0.000 0.889
0.500 0.500 0.203
0.500 0.500 0.389
0.500 0.500 0.611
0.500 0.500 0.797
0.000 0.000 0.500
0.500 0.500 0.000
```

Top 10 peaks for 2θ = 15–90°, sorted by position:
2θ (°), d (Å), I/Imax
41.80, 2.161, 97
42.07, 2.148, 100
47.78, 1.904, 65
50.83, 1.796, 28
70.27, 1.339, 10
72.32, 1.306, 34
84.68, 1.145, 19
85.24, 1.139, 22
89.49, 1.095, 10
89.68, 1.093, 10

---

Number 1 is which compound? Na2AlOsO6

---

What did the third record say?
Structure and calculated PXRD pattern of Li2ZnGa2PdPt2 (a DFT-relaxed cell (PBE, OQMD); Cu Kα (λ = 1.5418 Å)).
Lines closer than 0.1° are merged.

```
Li2ZnGa2PdPt2
1.0
4.281 0.000 0.000
0.000 4.281 0.000
0.000 0.000 6.314
Li Zn Ga Pd Pt
2 1 2 1 2
direct
0.000 0.500 0.249
0.500 0.000 0.751
0.000 0.000 0.000
0.000 0.000 0.500
0.500 0.500 0.000
0.500 0.500 0.500
0.000 0.500 0.768
0.500 0.000 0.232
```

Top 10 peaks for 2θ = 15–90°, sorted by position:
2θ (°), d (Å), I/Imax
25.13, 3.543, 100
41.32, 2.185, 99
42.22, 2.140, 48
48.18, 1.889, 16
49.77, 1.832, 32
61.24, 1.513, 16
65.96, 1.416, 13
74.72, 1.270, 16
76.58, 1.244, 32
89.77, 1.092, 10